# 1
Calculated X-ray powder pattern of Na2PrI4 for copper Kα, from a crystal structure in Alexandria, relaxed with GGA-PBE.
Lines closer than 0.1° are merged.

Peak list (10 most intense, 15 to 90 degrees two-theta, low angle first)
- 2θ 21.95, I = 296
- 2θ 25.40, I = 417
- 2θ 25.90, I = 1000
- 2θ 26.69, I = 424
- 2θ 29.85, I = 355
- 2θ 31.97, I = 288
- 2θ 32.56, I = 294
- 2θ 33.27, I = 270
- 2θ 39.67, I = 532
- 2θ 42.06, I = 341

Structure:
```
Na2PrI4
1.0
-4.2040 5.5001 5.9865
4.2040 -5.5001 5.9865
4.2040 5.5001 -5.9865
Na Pr I
4 2 8
Direct
0.2500 0.2500 0.5000
0.2500 0.2507 0.0007
0.2500 0.7500 0.0000
0.7500 0.2493 0.4993
0.7442 0.9942 0.7500
0.7558 0.5058 0.2500
0.0329 0.9931 0.0398
0.0468 0.5069 0.5399
0.4532 0.9931 0.4602
0.4671 0.5069 0.9601
0.5411 0.0501 0.0088
0.5413 0.5323 0.4912
0.9587 0.4499 0.9910
0.9589 0.9677 0.5090
```



# 2
Calculated X-ray powder pattern of LiSi5O10 for copper Kα, from a crystal structure in Alexandria, relaxed with GGA-PBE.
Lines closer than 0.1° are merged.

Peak list (10 most intense, 15 to 90 degrees two-theta, low angle first)
- 2θ 17.95, I = 886
- 2θ 18.63, I = 1000
- 2θ 22.05, I = 741
- 2θ 27.23, I = 695
- 2θ 29.04, I = 687
- 2θ 29.84, I = 283
- 2θ 30.15, I = 496
- 2θ 30.26, I = 303
- 2θ 31.40, I = 562
- 2θ 73.89, I = 179

Structure:
```
LiSi5O10
1.0
6.9737 0.0000 0.0000
0.0000 7.5732 0.0000
0.0000 0.0000 6.5202
Li Si O
1 5 10
Direct
0.0000 0.0000 0.0000
0.0000 0.0000 0.6329
0.0000 0.2834 0.0173
0.0000 0.7166 0.0173
0.2693 0.0000 0.2549
0.7307 0.0000 0.2549
0.0000 0.1766 0.7872
0.0000 0.5000 0.0149
0.0000 0.8234 0.7872
0.1848 0.1765 0.1315
0.1848 0.8235 0.1315
0.1934 0.0000 0.4923
0.5000 0.0000 0.2540
0.8066 0.0000 0.4923
0.8152 0.1765 0.1315
0.8152 0.8235 0.1315
```



# 3
Calculated X-ray powder pattern of Ac3Ag2Hg2 for copper Kα, from a crystal structure in Alexandria, relaxed with GGA-PBE.
Lines closer than 0.1° are merged.

Peak list (10 most intense, 15 to 90 degrees two-theta, low angle first)
- 2θ 26.84, I = 289
- 2θ 29.30, I = 887
- 2θ 29.70, I = 243
- 2θ 30.06, I = 229
- 2θ 33.11, I = 1000
- 2θ 33.53, I = 619
- 2θ 35.25, I = 440
- 2θ 43.46, I = 165
- 2θ 59.67, I = 223
- 2θ 60.77, I = 245

Structure:
```
Ac3Ag2Hg2
1.0
5.7153 -2.6729 0.0000
5.7153 2.6729 0.0000
-1.6380 0.0000 6.9927
Ac Ag Hg
3 2 2
Direct
0.0000 0.0000 0.0000
0.3545 0.3545 0.2819
0.6455 0.6455 0.7181
0.1094 0.1094 0.4475
0.8906 0.8906 0.5525
0.3396 0.3396 0.7749
0.6604 0.6604 0.2251
```



# 4
Calculated X-ray powder pattern of KRb2Au3 for copper Kα, from a crystal structure in Alexandria, relaxed with GGA-PBE.
Lines closer than 0.1° are merged.

Peak list (10 most intense, 15 to 90 degrees two-theta, low angle first)
- 2θ 15.54, I = 309
- 2θ 22.04, I = 281
- 2θ 27.08, I = 223
- 2θ 28.76, I = 129
- 2θ 31.37, I = 1000
- 2θ 43.07, I = 130
- 2θ 44.96, I = 163
- 2θ 50.62, I = 125
- 2θ 55.85, I = 300
- 2θ 59.26, I = 141

Structure:
```
KRb2Au3
1.0
0.0000 8.0651 8.0651
8.0651 0.0000 8.0651
8.0651 8.0651 0.0000
K Rb Au
4 8 12
Direct
0.0000 0.0000 0.0000
0.0000 0.0000 0.5000
0.0000 0.5000 0.0000
0.5000 0.0000 0.0000
0.2642 0.2642 0.2642
0.2642 0.2642 0.7073
0.2642 0.7073 0.2642
0.2927 0.7358 0.7358
0.7073 0.2642 0.2642
0.7358 0.2927 0.7358
0.7358 0.7358 0.2927
0.7358 0.7358 0.7358
0.1095 0.1095 0.6405
0.1095 0.6405 0.1095
0.1095 0.6405 0.6405
0.3595 0.3595 0.8905
0.3595 0.8905 0.3595
0.3595 0.8905 0.8905
0.6405 0.1095 0.1095
0.6405 0.1095 0.6405
0.6405 0.6405 0.1095
0.8905 0.3595 0.3595
0.8905 0.3595 0.8905
0.8905 0.8905 0.3595
```